For Tm5Th5Sc2, the PBE geometry in Alexandria gives the simulated powder X-ray diffraction pattern in this record (Cu Kα (weighted mean of Kα1 and Kα2)).
Kinematic intensities with the Lorentz-polarization factor, no thermal factor.

Structure:
```
Tm5Th5Sc2
1.0
7.284 -2.489 0.000
7.284 2.489 0.000
-4.829 0.000 9.980
Tm Th Sc
5 5 2
Direct
0.000 0.000 0.000 Tm
0.082 0.082 0.748 Tm
0.170 0.170 0.504 Tm
0.830 0.830 0.496 Tm
0.918 0.918 0.252 Tm
0.247 0.247 0.247 Th
0.333 0.333 0.996 Th
0.500 0.500 0.500 Th
0.667 0.667 0.004 Th
0.753 0.753 0.753 Th
0.417 0.417 0.748 Sc
0.583 0.583 0.252 Sc
```

Top 10 peaks for 2θ from 5° to 70°, in order of rising 2θ:
Position (°2θ), I_rel
31.36, 100
36.04, 35
37.02, 16
51.88, 12
52.66, 18
61.78, 7
61.92, 22
63.16, 7
63.26, 7
65.37, 6

For Tm2ThSc4, the PBE geometry in Alexandria gives the simulated powder X-ray diffraction pattern in this record (Cu Kα (weighted mean of Kα1 and Kα2)).
Kinematic intensities with the Lorentz-polarization factor, no thermal factor.

Structure:
```
Tm2ThSc4
1.0
5.519 0.000 0.000
-2.686 5.606 0.000
-0.203 -0.644 6.184
Tm Th Sc
2 1 4
Direct
0.000 0.000 0.000 Tm
0.263 0.360 0.611 Tm
0.630 0.178 0.306 Th
0.371 0.582 0.144 Sc
0.440 0.907 0.751 Sc
0.823 0.452 0.863 Sc
0.893 0.776 0.467 Sc
```

Top 10 peaks for 2θ from 5° to 70°, in order of rising 2θ:
Position (°2θ), I_rel
15.89, 46
20.31, 43
23.81, 48
32.46, 49
32.97, 55
33.47, 50
33.69, 42
33.92, 100
34.55, 24
48.67, 22

For Tm2Th9Sc, the PBE geometry in Alexandria gives the simulated powder X-ray diffraction pattern in this record (Cu Kα (weighted mean of Kα1 and Kα2)).
Kinematic intensities with the Lorentz-polarization factor, no thermal factor.

Structure:
```
Tm2Th9Sc
1.0
5.013 0.000 0.000
0.000 5.013 0.000
0.000 0.000 15.026
Tm Th Sc
2 9 1
Direct
0.000 0.000 0.168 Tm
0.000 0.000 0.832 Tm
0.000 0.500 0.000 Th
0.000 0.500 0.336 Th
0.000 0.500 0.664 Th
0.500 0.000 0.000 Th
0.500 0.000 0.336 Th
0.500 0.000 0.664 Th
0.500 0.500 0.168 Th
0.500 0.500 0.500 Th
0.500 0.500 0.832 Th
0.000 0.000 0.500 Sc
```

Top 10 peaks for 2θ from 5° to 70°, in order of rising 2θ:
Position (°2θ), I_rel
5.88, 2
17.70, 4
25.13, 4
30.91, 100
35.84, 51
40.24, 2
44.27, 2
51.58, 37
61.35, 44
64.40, 13

For Tm2Th15Sc2, the PBE geometry in Alexandria gives the simulated powder X-ray diffraction pattern in this record (Cu Kα (weighted mean of Kα1 and Kα2)).
Kinematic intensities with the Lorentz-polarization factor, no thermal factor.

Structure:
```
Tm2Th15Sc2
1.0
5.632 3.252 5.778
-5.632 3.252 5.778
0.000 -6.503 5.778
Tm Th Sc
2 15 2
Direct
0.196 0.196 0.196 Tm
0.804 0.804 0.804 Tm
0.000 0.500 0.500 Th
0.140 0.140 0.652 Th
0.140 0.652 0.140 Th
0.203 0.500 0.797 Th
0.203 0.797 0.500 Th
0.348 0.860 0.860 Th
0.500 0.000 0.500 Th
0.500 0.203 0.797 Th
0.500 0.500 0.000 Th
0.500 0.797 0.203 Th
0.652 0.140 0.140 Th
0.797 0.203 0.500 Th
0.797 0.500 0.203 Th
0.860 0.348 0.860 Th
0.860 0.860 0.348 Th
0.406 0.406 0.406 Sc
0.594 0.594 0.594 Sc
```

Top 10 peaks for 2θ from 5° to 70°, in order of rising 2θ:
Position (°2θ), I_rel
15.74, 35
27.43, 10
30.95, 28
31.60, 100
31.78, 31
34.90, 17
35.46, 65
51.16, 13
56.59, 24
65.93, 12

For TmTh12Sc6, the PBE geometry in Alexandria gives the simulated powder X-ray diffraction pattern in this record (Cu Kα (weighted mean of Kα1 and Kα2)).
Kinematic intensities with the Lorentz-polarization factor, no thermal factor.

Structure:
```
TmTh12Sc6
1.0
-5.217 5.217 5.217
5.217 -5.217 5.217
5.217 5.217 -5.217
Tm Th Sc
1 12 6
Direct
0.000 0.000 0.000 Tm
0.085 0.268 0.817 Th
0.183 0.451 0.268 Th
0.183 0.915 0.732 Th
0.268 0.183 0.451 Th
0.268 0.817 0.085 Th
0.451 0.268 0.183 Th
0.549 0.732 0.817 Th
0.732 0.183 0.915 Th
0.732 0.817 0.549 Th
0.817 0.085 0.268 Th
0.817 0.549 0.732 Th
0.915 0.732 0.183 Th
0.148 0.500 0.648 Sc
0.352 0.852 0.500 Sc
0.500 0.352 0.852 Sc
0.500 0.648 0.148 Sc
0.648 0.148 0.500 Sc
0.852 0.500 0.352 Sc
```

Top 10 peaks for 2θ from 5° to 70°, in order of rising 2θ:
Position (°2θ), I_rel
12.00, 21
24.12, 23
27.02, 33
29.66, 69
32.10, 100
34.38, 37
36.54, 21
38.59, 31
51.04, 33
54.19, 36

For Tm10ThSc4, the PBE geometry in Alexandria gives the simulated powder X-ray diffraction pattern in this record (Cu Kα (weighted mean of Kα1 and Kα2)).
Kinematic intensities with the Lorentz-polarization factor, no thermal factor.

Structure:
```
Tm10ThSc4
1.0
-6.078 6.078 3.241
6.078 -6.078 3.241
6.078 6.078 -3.241
Tm Th Sc
10 1 4
Direct
0.034 0.635 0.156 Tm
0.122 0.966 0.601 Tm
0.250 0.750 0.500 Tm
0.365 0.521 0.399 Tm
0.479 0.878 0.844 Tm
0.521 0.122 0.156 Tm
0.635 0.479 0.601 Tm
0.750 0.250 0.500 Tm
0.878 0.034 0.399 Tm
0.966 0.365 0.844 Tm
0.000 0.000 0.000 Th
0.325 0.432 0.757 Sc
0.432 0.675 0.107 Sc
0.568 0.325 0.893 Sc
0.675 0.568 0.243 Sc
```

Top 10 peaks for 2θ from 5° to 70°, in order of rising 2θ:
Position (°2θ), I_rel
23.14, 94
27.52, 36
29.44, 53
31.25, 28
32.95, 100
36.25, 86
37.73, 31
42.09, 29
43.45, 37
47.32, 71

For Tm4Th6Sc, the PBE geometry in Alexandria gives the simulated powder X-ray diffraction pattern in this record (Cu Kα (weighted mean of Kα1 and Kα2)).
Kinematic intensities with the Lorentz-polarization factor, no thermal factor.

Structure:
```
Tm4Th6Sc
1.0
-3.208 3.208 8.658
3.208 -3.208 8.658
3.208 3.208 -8.658
Tm Th Sc
4 6 1
Direct
0.193 0.193 0.635 Tm
0.442 0.807 0.000 Tm
0.558 0.558 0.365 Tm
0.807 0.442 0.000 Tm
0.000 0.500 0.500 Th
0.004 0.631 0.000 Th
0.369 0.369 0.373 Th
0.500 0.000 0.500 Th
0.631 0.004 0.000 Th
0.996 0.996 0.627 Th
0.000 0.000 0.000 Sc
```

Top 10 peaks for 2θ from 5° to 70°, in order of rising 2θ:
Position (°2θ), I_rel
22.12, 38
28.50, 74
29.70, 64
31.61, 100
34.81, 53
36.91, 47
39.74, 27
40.84, 32
56.92, 26
59.66, 31

For Tm4Th3Sc2, the PBE geometry in Alexandria gives the simulated powder X-ray diffraction pattern in this record (Cu Kα (weighted mean of Kα1 and Kα2)).
Kinematic intensities with the Lorentz-polarization factor, no thermal factor.

Structure:
```
Tm4Th3Sc2
1.0
3.485 0.000 0.000
-1.742 3.018 0.000
0.000 0.000 25.671
Tm Th Sc
4 3 2
Direct
0.000 0.000 0.000 Tm
0.000 0.000 0.225 Tm
0.333 0.667 0.334 Tm
0.333 0.667 0.562 Tm
0.000 0.000 0.447 Th
0.333 0.667 0.110 Th
0.333 0.667 0.773 Th
0.000 0.000 0.665 Sc
0.000 0.000 0.878 Sc
```

Top 10 peaks for 2θ from 5° to 70°, in order of rising 2θ:
Position (°2θ), I_rel
10.34, 23
29.60, 49
31.37, 63
32.79, 100
34.47, 96
43.67, 33
52.52, 42
55.63, 22
58.94, 21
62.46, 48

What is the formula in the fifth record? TmTh12Sc6